(1)
Calculated X-ray powder pattern of LiCu2Sn2 for Cu Kα (weighted mean of Kα1 and Kα2), from the PBE geometry in Alexandria.

Atomic structure:
```
LiCu2Sn2
1.0
4.491 0.000 0.000
0.000 4.548 0.000
0.000 0.000 9.051
Li Cu Sn
2 4 4
direct
0.250 0.250 0.167 Li
0.750 0.750 0.833 Li
0.250 0.750 0.009 Cu
0.250 0.750 0.328 Cu
0.750 0.250 0.672 Cu
0.750 0.250 0.991 Cu
0.250 0.250 0.489 Sn
0.250 0.250 0.837 Sn
0.750 0.750 0.163 Sn
0.750 0.750 0.511 Sn
```

Largest 12 diffraction maxima, most intense first, 5 to 70 degrees two-theta:
2theta  I (rel.)
41.15  100
21.87  42
27.97  39
39.64  28
40.16  27
57.70  19
29.64  19
49.22  12
46.19  12
61.44  11
19.62  10
54.56  5

***

(2)
Calculated X-ray powder pattern of Li7CuSn4 for Cu Kα (weighted mean of Kα1 and Kα2), from the PBE geometry in Alexandria.

Atomic structure:
```
Li7CuSn4
1.0
6.749 -2.395 0.000
6.749 2.395 0.000
-6.028 0.000 7.847
Li Cu Sn
7 1 4
direct
0.000 0.000 0.000 Li
0.139 0.139 0.586 Li
0.286 0.286 0.140 Li
0.437 0.437 0.684 Li
0.563 0.563 0.316 Li
0.714 0.714 0.860 Li
0.861 0.861 0.414 Li
0.500 0.500 0.000 Cu
0.066 0.066 0.796 Sn
0.202 0.202 0.353 Sn
0.798 0.798 0.647 Sn
0.934 0.934 0.204 Sn
```

Largest 12 diffraction maxima, most intense first, 5 to 70 degrees two-theta:
2theta  I (rel.)
26.48  100
20.31  34
38.39  31
13.17  26
18.15  26
37.55  25
27.47  24
38.04  23
40.91  23
39.31  23
27.91  21
25.21  18

***

(3)
Calculated X-ray powder pattern of LiCuSn2 for Cu Kα (weighted mean of Kα1 and Kα2), from the PBE geometry in Alexandria.

Atomic structure:
```
LiCuSn2
1.0
4.232 0.000 0.000
-2.116 3.665 0.000
0.000 0.000 5.541
Li Cu Sn
1 1 2
direct
0.000 0.000 0.000 Li
0.000 0.000 0.500 Cu
0.333 0.667 0.303 Sn
0.667 0.333 0.697 Sn
```

Largest 12 diffraction maxima, most intense first, 5 to 70 degrees two-theta:
2theta  I (rel.)
29.21  100
40.83  47
42.73  45
16.00  36
52.60  20
55.73  17
45.90  15
60.58  15
54.57  6
67.29  5
32.31  4
24.28  4

***

(4)
Calculated X-ray powder pattern of Li9Cu4Sn11 for Cu Kα (weighted mean of Kα1 and Kα2), from the PBE geometry in Alexandria.

Atomic structure:
```
Li9Cu4Sn11
1.0
6.901 -10.192 0.000
6.901 10.192 0.000
0.000 0.000 3.418
Li Cu Sn
9 4 11
direct
0.000 0.000 0.000 Li
0.132 0.659 0.000 Li
0.286 0.434 0.000 Li
0.341 0.868 0.000 Li
0.434 0.286 0.000 Li
0.566 0.714 0.000 Li
0.659 0.132 0.000 Li
0.714 0.566 0.000 Li
0.868 0.341 0.000 Li
0.051 0.254 0.000 Cu
0.254 0.051 0.000 Cu
0.746 0.949 0.000 Cu
0.949 0.746 0.000 Cu
0.089 0.438 0.500 Sn
0.130 0.870 0.500 Sn
0.200 0.200 0.500 Sn
0.340 0.660 0.500 Sn
0.438 0.089 0.500 Sn
0.500 0.500 0.500 Sn
0.562 0.911 0.500 Sn
0.660 0.340 0.500 Sn
0.800 0.800 0.500 Sn
0.870 0.130 0.500 Sn
0.911 0.562 0.500 Sn
```

Largest 12 diffraction maxima, most intense first, 5 to 70 degrees two-theta:
2theta  I (rel.)
37.02  100
37.32  94
26.07  65
37.14  65
39.60  53
25.82  52
26.23  47
19.78  45
53.64  37
22.74  33
45.94  30
35.27  30